1.
# Ni7PdRh4
Calculated powder diffractogram, Cu Kα. Input: DFT lattice parameters and positions (GGA-PBE).
Lines closer than 0.1° are merged.

Peak list (10 most intense, 2θ from 5° to 70°, sorted by position)
- d = 3.258 Å, 27.37°, I 15, hkl 1 1 1
- d = 2.882 Å, 31.03°, I 10, hkl 2 0 -3
- d = 2.227 Å, 40.50°, I 100, hkl 0 2 0
- d = 2.201 Å, 41.01°, I 59, hkl 4 0 -1
- d = 2.196 Å, 41.11°, I 33, hkl 3 1 -3
- d = 2.031 Å, 44.62°, I 16, hkl 3 1 1
- d = 2.025 Å, 44.74°, I 79, hkl 1 1 3
- d = 1.905 Å, 47.75°, I 48, hkl 3 1 -4
- d = 1.575 Å, 58.63°, I 10, hkl 2 2 -4
- d = 1.566 Å, 58.99°, I 38, hkl 4 2 -1

Crystal structure
a b c (Å): 8.9755 4.4555 8.9283
angles (deg): 90.00 115.50 90.00
Space group C2/m (No. 12)
One atom of each set of equivalent atoms:
1 Ni 0.0000 0.0000 0.0000 (multiplicity 2)
2 Ni 0.1216 0.5000 0.4704 (multiplicity 4)
3 Ni 0.1538 0.0000 0.6162 (multiplicity 4)
4 Ni 0.2066 0.0000 0.9131 (multiplicity 4)
5 Pd 0.0000 0.5000 0.0000 (multiplicity 2)
6 Rh 0.0909 0.0000 0.3052 (multiplicity 4)
7 Rh 0.1494 0.5000 0.7723 (multiplicity 4)

---

2.
# Pr3Sn3Ir
Calculated powder diffractogram, Cu Kα. Input: DFT lattice parameters and positions (GGA-PBE).
Lines closer than 0.1° are merged.

Peak list (10 most intense, 2θ from 5° to 70°, sorted by position)
- d = 14.561 Å, 6.07°, I 71, hkl 0 0 1
- d = 3.012 Å, 29.66°, I 94, hkl 1 1 3
- d = 2.961 Å, 30.18°, I 83, hkl 1 1 -4
- d = 2.881 Å, 31.04°, I 45, hkl 4 0 -2
- d = 2.598 Å, 34.52°, I 41, hkl 3 1 -4
- d = 2.449 Å, 36.69°, I 100, hkl 3 1 2
- d = 2.428 Å, 37.02°, I 61, hkl 4 0 -5
- d = 2.310 Å, 38.99°, I 81, hkl 0 2 0
- d = 1.674 Å, 54.85°, I 40, hkl 4 2 -5
- d = 1.552 Å, 59.56°, I 40, hkl 7 1 -3

Crystal structure
a b c (Å): 11.5368 4.6204 15.4295
angles (deg): 90.00 109.32 90.00
Space group C2/m (No. 12)
One atom of each set of equivalent atoms:
1 Pr 0.0214 0.0000 0.3818 (multiplicity 4)
2 Pr 0.0994 0.0000 0.9207 (multiplicity 4)
3 Pr 0.2420 0.0000 0.2429 (multiplicity 4)
4 Sn 0.0300 0.5000 0.2360 (multiplicity 4)
5 Sn 0.1218 0.5000 0.0757 (multiplicity 4)
6 Sn 0.1524 0.5000 0.5333 (multiplicity 4)
7 Ir 0.2476 0.5000 0.3837 (multiplicity 4)